The following is a calculated X-ray powder pattern of CdAsW. It was derived from a structure optimized by DFT (PBE), using λ = 1.5418 Å (Cu Kα).

Structure:
Unit cell a=8.8323 b=8.6574 c=2.8611 alpha=84.06 beta=77.15 gamma=18.80
Sites, in units of the cell vectors:
1 Cd 0.0000 0.0000 0.0000
2 As 0.2659 0.2659 0.7341
3 W 0.6493 0.6493 0.3507

Main lines, by intensity (2θ from 15° to 90°):
Position (°2θ)	d/Å	I/Imax
37.41	2.404	100
43.23	2.093	41
37.95	2.371	30
31.55	2.836	21
68.20	1.375	17
42.50	2.127	16
70.46	1.336	13
58.27	1.583	13